Starting from a crystal structure in Alexandria, relaxed with PBE+U, the powder XRD pattern of LiMn7O7F was calculated for Cu Kα X-rays.

Main lines, by intensity (2θ from 10° to 90°):
2θ = 34.37°, rel. 100; 2θ = 29.74°, rel. 84; 2θ = 34.06°, rel. 54; 2θ = 52.78°, rel. 54; 2θ = 64.32°, rel. 41; 2θ = 61.17°, rel. 36; 2θ = 45.84°, rel. 34; 2θ = 64.52°, rel. 15; 2θ = 85.00°, rel. 13; 2θ = 87.99°, rel. 13

Structural model:
a = 3.4689 Å, b = 3.4689 Å, c = 21.0552 Å
α = 90.00°, β = 90.00°, γ = 120.00°
Space group P3m1 (No. 156)
One atom of each set of equivalent atoms:
Li (0.0000, 0.0000, 0.0000) x1
Mn (0.0000, 0.0000, 0.2577) x1
Mn (0.0000, 0.0000, 0.5095) x1
Mn (0.0000, 0.0000, 0.7574) x1
Mn (0.6667, 0.3333, 0.1336) x1
Mn (0.6667, 0.3333, 0.3838) x1
Mn (0.6667, 0.3333, 0.6321) x1
Mn (0.6667, 0.3333, 0.8837) x1
O (0.0000, 0.0000, 0.1565) x1
O (0.0000, 0.0000, 0.4095) x1
O (0.0000, 0.0000, 0.6555) x1
O (0.0000, 0.0000, 0.9106) x1
O (0.6667, 0.3333, 0.2829) x1
O (0.6667, 0.3333, 0.5319) x1
O (0.6667, 0.3333, 0.7831) x1
F (0.6667, 0.3333, 0.0330) x1